[1]
Pr3Ag3Hg2: theoretical XRD peak list (Cu Kα X-rays), based on the GGA-PBE geometry in Alexandria.
Peak positions follow from Bragg's law for the DFT cell and can differ from measured ones.

Structural model:
```
Pr3Ag3Hg2
1.0
2.4274 -5.6150 0.0000
2.4274 5.6150 0.0000
0.0000 0.0000 15.3517
Pr Ag Hg
6 6 4
direct
0.0852 0.9148 0.6035
0.0852 0.9148 0.8965
0.3525 0.6475 0.7500
0.6475 0.3525 0.2500
0.9148 0.0852 0.1035
0.9148 0.0852 0.3965
0.3703 0.6297 0.2500
0.3920 0.6080 0.5432
0.3920 0.6080 0.9568
0.6080 0.3920 0.0432
0.6080 0.3920 0.4568
0.6297 0.3703 0.7500
0.2083 0.7917 0.1047
0.2083 0.7917 0.3953
0.7917 0.2083 0.6047
0.7917 0.2083 0.8953
```

Most intense lines, 5° ≤ 2θ ≤ 70°, most intense first:
2θ = 35.00°, 2.564 Å, intensity 100
2θ = 30.74°, 2.909 Å, intensity 99
2θ = 37.03°, 2.427 Å, intensity 47
2θ = 38.37°, 2.346 Å, intensity 34
2θ = 32.40°, 2.763 Å, intensity 24
2θ = 51.90°, 1.762 Å, intensity 22

***

[2]
ErNi5H7: theoretical XRD peak list (Cu Kα X-rays), based on the GGA-PBE geometry in Alexandria.
Peak positions follow from Bragg's law for the DFT cell and can differ from measured ones.

Structural model:
```
ErNi5H7
1.0
2.6949 -4.1910 0.0000
2.6949 4.1910 0.0000
-2.3049 0.0000 4.4155
Er Ni H
1 5 7
direct
0.0000 0.0000 0.0000
0.3090 0.8647 0.6326
0.3895 0.3895 0.6089
0.4192 0.7370 0.1603
0.7370 0.4192 0.1603
0.8647 0.3090 0.6326
0.0135 0.4942 0.0046
0.0622 0.0622 0.5706
0.0674 0.4621 0.4390
0.4621 0.0674 0.4390
0.4942 0.0135 0.0046
0.5163 0.5163 0.3552
0.5912 0.5912 0.9811
```

Most intense lines, 5° ≤ 2θ ≤ 70°, most intense first:
2θ = 38.11°, 2.361 Å, intensity 100
2θ = 37.66°, 2.388 Å, intensity 81
2θ = 40.86°, 2.209 Å, intensity 65
2θ = 35.12°, 2.555 Å, intensity 50
2θ = 39.88°, 2.261 Å, intensity 47
2θ = 29.38°, 3.040 Å, intensity 39

***

[3]
Cs4ZrTe5: theoretical XRD peak list (Cu Kα X-rays), based on the GGA-PBE geometry in Alexandria.
Peak positions follow from Bragg's law for the DFT cell and can differ from measured ones.

Structural model:
```
Cs4ZrTe5
1.0
-5.8138 5.8138 3.9236
5.8138 -5.8138 3.9236
5.8138 5.8138 -3.9236
Cs Zr Te
4 1 5
direct
0.0758 0.6991 0.7749
0.3009 0.0758 0.3767
0.6991 0.9242 0.6233
0.9242 0.3009 0.2251
0.4024 0.4024 0.0000
0.0543 0.0543 0.0000
0.2846 0.4364 0.7055
0.4364 0.7310 0.1519
0.5791 0.2846 0.8481
0.7310 0.5791 0.2945
```

Most intense lines, 5° ≤ 2θ ≤ 70°, most intense first:
2θ = 24.21°, 3.677 Å, intensity 100
2θ = 33.40°, 2.683 Å, intensity 79
2θ = 22.66°, 3.924 Å, intensity 76
2θ = 29.96°, 2.983 Å, intensity 36
2θ = 41.67°, 2.168 Å, intensity 27
2θ = 25.63°, 3.475 Å, intensity 23

***

[4]
Mg6Pt: theoretical XRD peak list (Cu Kα X-rays), based on the GGA-PBE geometry in Alexandria.
Peak positions follow from Bragg's law for the DFT cell and can differ from measured ones.

Structural model:
```
Mg6Pt
1.0
4.2039 -3.6262 0.0000
4.2039 3.6262 0.0000
0.0000 0.0000 9.5404
Mg Pt
12 2
direct
0.0251 0.6076 0.2500
0.1560 0.8440 0.5929
0.1560 0.8440 0.9071
0.3278 0.3278 0.0000
0.3278 0.3278 0.5000
0.3924 0.9749 0.2500
0.6076 0.0251 0.7500
0.6722 0.6722 0.0000
0.6722 0.6722 0.5000
0.8440 0.1560 0.0929
0.8440 0.1560 0.4071
0.9749 0.3924 0.7500
0.4654 0.5346 0.7500
0.5346 0.4654 0.2500
```

Most intense lines, 5° ≤ 2θ ≤ 70°, most intense first:
2θ = 16.14°, 5.492 Å, intensity 100
2θ = 24.72°, 3.601 Å, intensity 67
2θ = 39.30°, 2.292 Å, intensity 49
2θ = 37.80°, 2.380 Å, intensity 46
2θ = 18.61°, 4.768 Å, intensity 43
2θ = 41.27°, 2.188 Å, intensity 32

***

[5]
Er4ThGe4: theoretical XRD peak list (Cu Kα X-rays), based on the GGA-PBE geometry in Alexandria.
Peak positions follow from Bragg's law for the DFT cell and can differ from measured ones.

Structural model:
```
Er4ThGe4
1.0
-4.6299 4.6299 2.8758
4.6299 -4.6299 2.8758
4.6299 4.6299 -2.8758
Er Th Ge
4 1 4
direct
0.1033 0.3091 0.4123
0.3091 0.8967 0.2058
0.6909 0.1033 0.7942
0.8967 0.6909 0.5877
0.5000 0.5000 0.0000
0.1997 0.6067 0.8064
0.3933 0.1997 0.5931
0.6067 0.8003 0.4069
0.8003 0.3933 0.1936
```

Most intense lines, 5° ≤ 2θ ≤ 70°, most intense first:
2θ = 30.53°, 2.928 Å, intensity 100
2θ = 44.14°, 2.052 Å, intensity 73
2θ = 26.52°, 3.361 Å, intensity 71
2θ = 31.10°, 2.876 Å, intensity 48
2θ = 54.62°, 1.680 Å, intensity 39
2θ = 43.72°, 2.071 Å, intensity 37

***

[6]
PuVTc2: theoretical XRD peak list (Cu Kα X-rays), based on the GGA-PBE geometry in Alexandria.
Peak positions follow from Bragg's law for the DFT cell and can differ from measured ones.

Structural model:
```
PuVTc2
1.0
0.0000 3.1850 3.1850
3.1850 0.0000 3.1850
3.1850 3.1850 0.0000
Pu V Tc
1 1 2
direct
0.0000 0.0000 0.0000
0.5000 0.5000 0.5000
0.2500 0.2500 0.2500
0.7500 0.7500 0.7500
```

Most intense lines, 5° ≤ 2θ ≤ 70°, most intense first:
2θ = 40.03°, 2.252 Å, intensity 100
2θ = 24.20°, 3.678 Å, intensity 34
2θ = 47.33°, 1.921 Å, intensity 19
2θ = 57.91°, 1.592 Å, intensity 17
2θ = 63.68°, 1.461 Å, intensity 8
2θ = 28.01°, 3.185 Å, intensity 4